# 1
# Nd2ErScO6
Theoretical powder X-ray diffraction pattern, Cu Kα. Input: a cell relaxed with PBE.
Intensities are scaled so that the largest is 100.

The 6 most intense peaks (15° ≤ 2θ ≤ 90°), sorted by position:
two_theta	I_rel
30.06	41.7
30.56	100.0
30.70	98.9
31.40	43.9
43.72	25.1
44.02	38.4

Structure:
a = 5.699 Å, b = 5.946 Å, c = 10.024 Å
α = 90.00°, β = 124.29°, γ = 90.00°
Sites, in units of the cell vectors:
Nd  0.232  0.056  0.251
Nd  0.232  0.444  0.751
Nd  0.768  0.556  0.249
Nd  0.768  0.944  0.749
Er  0.500  0.000  0.000
Er  0.500  0.500  0.500
Sc  0.000  0.000  0.500
Sc  0.000  0.500  0.000
O  0.121  0.203  0.932
O  0.121  0.297  0.432
O  0.233  0.691  0.935
O  0.233  0.809  0.435
O  0.368  0.054  0.743
O  0.368  0.446  0.243
O  0.632  0.554  0.757
O  0.632  0.946  0.257
O  0.767  0.191  0.565
O  0.767  0.309  0.065
O  0.879  0.703  0.568
O  0.879  0.797  0.068

# 2
# Nd4Er2Sn3O2
Theoretical powder X-ray diffraction pattern, Cu Kα. Input: a cell relaxed with PBE.
Intensities are scaled so that the largest is 100.

The 6 most intense peaks (15° ≤ 2θ ≤ 90°), sorted by position:
two_theta	I_rel
27.19	50.8
29.86	21.1
33.88	100.0
37.46	58.8
54.01	20.5
65.31	30.7

Structure:
a = 13.112 Å, b = 13.112 Å, c = 13.112 Å
α = 158.90°, β = 158.90°, γ = 30.02°
Sites, in units of the cell vectors:
Nd  0.084  0.584  0.500
Nd  0.416  0.916  0.500
Nd  0.584  0.084  0.500
Nd  0.916  0.416  0.500
Er  0.195  0.195  0.000
Er  0.805  0.805  0.000
Sn  0.319  0.319  0.000
Sn  0.500  0.500  0.000
Sn  0.681  0.681  0.000
O  0.107  0.107  0.000
O  0.893  0.893  0.000

# 3
# NdErTl2O6
Theoretical powder X-ray diffraction pattern, Cu Kα. Input: a cell relaxed with PBE.
Intensities are scaled so that the largest is 100.

The 6 most intense peaks (15° ≤ 2θ ≤ 90°), sorted by position:
two_theta	I_rel
28.99	100.0
30.40	94.9
42.50	40.3
46.86	25.8
53.14	41.0
54.01	26.6

Structure:
a = 6.175 Å, b = 6.175 Å, c = 6.175 Å
α = 56.88°, β = 56.88°, γ = 56.88°
Sites, in units of the cell vectors:
Nd  0.000  0.000  0.000
Er  0.493  0.493  0.493
Tl  0.276  0.276  0.276
Tl  0.780  0.780  0.780
O  0.100  0.672  0.402
O  0.192  0.590  0.883
O  0.402  0.100  0.672
O  0.590  0.883  0.192
O  0.672  0.402  0.100
O  0.883  0.192  0.590

What is the formula in the second record?
Nd4Er2Sn3O2